[1]
# DyHfZn17
Computed X-ray diffraction stick pattern, CuKα. Input: a GGA-PBE-relaxed structure.

Most intense lines, 2θ from 15° to 90°, by angle:
28.73 deg, 3.108 Å, rel. 27; 35.01 deg, 2.563 Å, rel. 41; 36.10 deg, 2.488 Å, rel. 22; 40.65 deg, 2.220 Å, rel. 54; 40.86 deg, 2.209 Å, rel. 100; 41.50 deg, 2.176 Å, rel. 30; 41.82 deg, 2.160 Å, rel. 22; 45.89 deg, 1.977 Å, rel. 22; 73.96 deg, 1.282 Å, rel. 22; 75.27 deg, 1.263 Å, rel. 19

Cell lengths 8.8785, 8.8785, 13.0569 Å; angles 90.00, 90.00, 120.00 degrees
Space group R3m (No. 160, hexagonal axes)
One atom of each set of equivalent atoms:
Dy (0.0000, 0.0000, 0.0000)
Hf (0.0000, 0.0000, 0.6663)
Zn (0.0000, 0.0000, 0.2399)
Zn (0.0000, 0.0000, 0.4402)
Zn (0.0035, 0.3024, 0.3349)
Zn (0.0028, 0.5014, 0.1861)
Zn (0.0113, 0.5057, 0.8323)
Zn (0.0266, 0.5133, 0.4868)

[2]
# DyHfZr
Computed X-ray diffraction stick pattern, CuKα. Input: a GGA-PBE-relaxed structure.

Most intense lines, 2θ from 15° to 90°, by angle:
31.37 deg, 2.852 Å, rel. 23; 32.05 deg, 2.793 Å, rel. 49; 33.83 deg, 2.650 Å, rel. 49; 34.66 deg, 2.588 Å, rel. 100; 36.51 deg, 2.461 Å, rel. 78; 41.10 deg, 2.196 Å, rel. 25; 52.91 deg, 1.730 Å, rel. 15; 55.40 deg, 1.659 Å, rel. 38; 59.82 deg, 1.546 Å, rel. 21; 66.51 deg, 1.406 Å, rel. 42

Cell lengths 3.3170, 3.3170, 23.8469 Å; angles 90.00, 90.00, 120.00 degrees
Space group R3m (No. 160, hexagonal axes)
One atom of each set of equivalent atoms:
Dy (0.0000, 0.0000, 0.0000)
Hf (0.0000, 0.0000, 0.5527)
Zr (0.0000, 0.0000, 0.7841)

[3]
# DyHg7
Computed X-ray diffraction stick pattern, CuKα. Input: a GGA-PBE-relaxed structure.

Most intense lines, 2θ from 15° to 90°, by angle:
33.52 deg, 2.673 Å, rel. 100; 38.00 deg, 2.368 Å, rel. 18; 39.34 deg, 2.290 Å, rel. 33; 55.85 deg, 1.646 Å, rel. 24; 56.85 deg, 1.619 Å, rel. 11; 65.82 deg, 1.419 Å, rel. 14; 67.64 deg, 1.385 Å, rel. 27; 70.44 deg, 1.337 Å, rel. 12; 81.27 deg, 1.184 Å, rel. 2; 84.63 deg, 1.145 Å, rel. 4

Cell lengths 4.5806, 4.5806, 18.9413 Å; angles 90.00, 90.00, 90.00 degrees
Space group I4/mmm (No. 139)
One atom of each set of equivalent atoms:
Dy (0.0000, 0.0000, 0.0000)
Hg (0.0000, 0.0000, 0.2514)
Hg (0.0000, 0.0000, 0.5000)
Hg (0.0000, 0.5000, 0.1232)

[4]
# Dy5Hg
Computed X-ray diffraction stick pattern, CuKα. Input: a GGA-PBE-relaxed structure.

Most intense lines, 2θ from 15° to 90°, by angle:
31.57 deg, 2.834 Å, rel. 100; 35.61 deg, 2.521 Å, rel. 39; 38.56 deg, 2.335 Å, rel. 12; 51.24 deg, 1.783 Å, rel. 14; 53.49 deg, 1.713 Å, rel. 18; 61.44 deg, 1.509 Å, rel. 30; 65.43 deg, 1.426 Å, rel. 7; 65.92 deg, 1.417 Å, rel. 10; 86.26 deg, 1.128 Å, rel. 7; 87.60 deg, 1.114 Å, rel. 7

Cell lengths 3.5658, 3.5658, 14.0081 Å; angles 90.00, 90.00, 90.00 degrees
Space group P4/mmm (No. 123)
One atom of each set of equivalent atoms:
Dy (0.0000, 0.0000, 0.0000)
Dy (0.0000, 0.0000, 0.3561)
Dy (0.5000, 0.5000, 0.1776)
Hg (0.5000, 0.5000, 0.5000)

[5]
# Dy4Hg
Computed X-ray diffraction stick pattern, CuKα. Input: a GGA-PBE-relaxed structure.

Most intense lines, 2θ from 15° to 90°, by angle:
22.90 deg, 3.884 Å, rel. 34; 30.24 deg, 2.955 Å, rel. 20; 31.04 deg, 2.881 Å, rel. 82; 31.64 deg, 2.828 Å, rel. 100; 33.17 deg, 2.701 Å, rel. 40; 36.06 deg, 2.491 Å, rel. 70; 36.92 deg, 2.435 Å, rel. 32; 46.21 deg, 1.965 Å, rel. 24; 58.66 deg, 1.574 Å, rel. 44; 60.44 deg, 1.532 Å, rel. 22

Cell lengths 6.4411, 6.4411, 14.8770 Å; angles 90.00, 90.00, 90.00 degrees
Space group I4_1/a (No. 88, origin choice 2)
One atom of each set of equivalent atoms:
Dy (0.1402, 0.9998, 0.2038)
Hg (0.0000, 0.2500, 0.6250)

[6]
# DyHg4
Computed X-ray diffraction stick pattern, CuKα. Input: a GGA-PBE-relaxed structure.

Most intense lines, 2θ from 15° to 90°, by angle:
25.14 deg, 3.542 Å, rel. 24; 30.39 deg, 2.941 Å, rel. 34; 33.24 deg, 2.695 Å, rel. 16; 33.95 deg, 2.640 Å, rel. 53; 37.00 deg, 2.430 Å, rel. 51; 37.46 deg, 2.401 Å, rel. 100; 58.74 deg, 1.572 Å, rel. 21; 62.75 deg, 1.481 Å, rel. 14; 63.00 deg, 1.475 Å, rel. 15; 69.61 deg, 1.351 Å, rel. 26

Cell lengths 5.2807, 5.4729, 9.2909 Å; angles 90.00, 90.14, 90.00 degrees
Space group P2_1/c (No. 14)
One atom of each set of equivalent atoms:
Dy (0.0000, 0.0000, 0.0000)
Hg (0.0005, 0.0044, 0.6613)
Hg (0.4999, 0.1648, 0.8475)

[7]
# Dy2Hg5
Computed X-ray diffraction stick pattern, CuKα. Input: a GGA-PBE-relaxed structure.

Most intense lines, 2θ from 15° to 90°, by angle:
32.96 deg, 2.718 Å, rel. 51; 33.63 deg, 2.665 Å, rel. 58; 34.70 deg, 2.585 Å, rel. 100; 35.55 deg, 2.525 Å, rel. 90; 47.80 deg, 1.903 Å, rel. 36; 53.15 deg, 1.723 Å, rel. 14; 59.42 deg, 1.556 Å, rel. 15; 60.83 deg, 1.523 Å, rel. 20; 61.39 deg, 1.510 Å, rel. 22; 64.38 deg, 1.447 Å, rel. 15

Cell lengths 8.9256, 5.3303, 8.2807 Å; angles 90.00, 117.43, 90.00 degrees
Space group C2/m (No. 12)
One atom of each set of equivalent atoms:
Dy (0.2397, 0.0000, 0.1744)
Hg (0.0000, 0.5000, 0.0000)
Hg (0.0649, 0.0000, 0.7407)
Hg (0.1514, 0.5000, 0.4098)

[8]
# Dy7Hg3
Computed X-ray diffraction stick pattern, CuKα. Input: a GGA-PBE-relaxed structure.

Most intense lines, 2θ from 15° to 90°, by angle:
28.98 deg, 3.081 Å, rel. 31; 30.16 deg, 2.963 Å, rel. 80; 30.54 deg, 2.927 Å, rel. 24; 33.51 deg, 2.674 Å, rel. 100; 34.05 deg, 2.633 Å, rel. 79; 35.42 deg, 2.535 Å, rel. 61; 38.53 deg, 2.337 Å, rel. 31; 49.55 deg, 1.840 Å, rel. 25; 62.61 deg, 1.484 Å, rel. 27; 68.21 deg, 1.375 Å, rel. 26

Cell lengths 10.1384, 10.1384, 6.5813 Å; angles 90.00, 90.00, 120.00 degrees
Space group P6_3mc (No. 186)
One atom of each set of equivalent atoms:
Dy (0.0636, 0.5318, 0.0000)
Dy (0.1287, 0.2574, 0.7282)
Dy (0.3333, 0.6667, 0.5771)
Hg (0.1975, 0.3949, 0.2867)

[9]
# Dy3Hg7
Computed X-ray diffraction stick pattern, CuKα. Input: a GGA-PBE-relaxed structure.

Most intense lines, 2θ from 15° to 90°, by angle:
33.62 deg, 2.666 Å, rel. 78; 34.07 deg, 2.631 Å, rel. 100; 34.31 deg, 2.614 Å, rel. 15; 36.66 deg, 2.451 Å, rel. 41; 37.62 deg, 2.391 Å, rel. 29; 43.30 deg, 2.090 Å, rel. 19; 53.54 deg, 1.712 Å, rel. 21; 57.99 deg, 1.590 Å, rel. 16; 64.08 deg, 1.453 Å, rel. 12; 64.36 deg, 1.448 Å, rel. 16

Cell lengths 16.4735, 4.9028, 6.4103 Å; angles 90.00, 108.82, 90.00 degrees
Space group C2/m (No. 12)
One atom of each set of equivalent atoms:
Dy (0.0000, 0.0000, 0.0000)
Dy (0.2006, 0.0000, 0.6496)
Hg (0.0000, 0.0000, 0.5000)
Hg (0.0994, 0.5000, 0.3440)
Hg (0.1045, 0.5000, 0.8522)
Hg (0.1966, 0.0000, 0.1427)

[10]
# DyHoHg4
Computed X-ray diffraction stick pattern, CuKα. Input: a GGA-PBE-relaxed structure.

Most intense lines, 2θ from 15° to 90°, by angle:
25.98 deg, 3.429 Å, rel. 14; 33.47 deg, 2.677 Å, rel. 100; 36.20 deg, 2.481 Å, rel. 33; 36.37 deg, 2.470 Å, rel. 65; 45.24 deg, 2.004 Å, rel. 13; 50.15 deg, 1.819 Å, rel. 22; 65.23 deg, 1.430 Å, rel. 12; 66.26 deg, 1.411 Å, rel. 11; 66.37 deg, 1.409 Å, rel. 23; 89.16 deg, 1.098 Å, rel. 11

Cell lengths 3.4293, 4.9622, 8.5447 Å; angles 90.00, 90.00, 90.00 degrees
Space group Pmmm (No. 47)
One atom of each set of equivalent atoms:
Dy (0.0000, 0.0000, 0.0000)
Ho (0.0000, 0.5000, 0.5000)
Hg (0.5000, 0.0000, 0.3331)
Hg (0.5000, 0.5000, 0.1673)

[11]
# DyHo3Hg12
Computed X-ray diffraction stick pattern, CuKα. Input: a GGA-PBE-relaxed structure.

Most intense lines, 2θ from 15° to 90°, by angle:
33.77 deg, 2.654 Å, rel. 100; 37.45 deg, 2.401 Å, rel. 19; 40.03 deg, 2.252 Å, rel. 32; 55.98 deg, 1.643 Å, rel. 24; 57.90 deg, 1.593 Å, rel. 11; 65.23 deg, 1.430 Å, rel. 15; 68.74 deg, 1.366 Å, rel. 26; 71.02 deg, 1.327 Å, rel. 12; 79.90 deg, 1.201 Å, rel. 2; 86.40 deg, 1.126 Å, rel. 4

Cell lengths 4.5046, 4.5046, 19.2099 Å; angles 90.00, 90.00, 90.00 degrees
Space group P4/mmm (No. 123)
One atom of each set of equivalent atoms:
Dy (0.0000, 0.0000, 0.0000)
Ho (0.0000, 0.0000, 0.2503)
Ho (0.0000, 0.0000, 0.5000)
Hg (0.0000, 0.5000, 0.1253)
Hg (0.0000, 0.5000, 0.3751)
Hg (0.5000, 0.5000, 0.0000)
Hg (0.5000, 0.5000, 0.2501)
Hg (0.5000, 0.5000, 0.5000)

[12]
# Dy3Ho2Hg2
Computed X-ray diffraction stick pattern, CuKα. Input: a GGA-PBE-relaxed structure.

Most intense lines, 2θ from 15° to 90°, by angle:
32.81 deg, 2.729 Å, rel. 94; 33.61 deg, 2.666 Å, rel. 100; 47.68 deg, 1.907 Å, rel. 34; 58.08 deg, 1.588 Å, rel. 16; 59.60 deg, 1.551 Å, rel. 35; 60.10 deg, 1.539 Å, rel. 19; 68.79 deg, 1.365 Å, rel. 8; 70.65 deg, 1.333 Å, rel. 13; 78.79 deg, 1.215 Å, rel. 12; 80.12 deg, 1.198 Å, rel. 15

Cell lengths 5.3326, 5.3326, 23.6844 Å; angles 90.00, 90.00, 120.00 degrees
Space group R-3m (No. 166, hexagonal axes)
One atom of each set of equivalent atoms:
Dy (0.0000, 0.0000, 0.0000)
Dy (0.0000, 0.0000, 0.1578)
Ho (0.0000, 0.0000, 0.4251)
Hg (0.0000, 0.0000, 0.2869)

- Number 4 is which compound?
  Dy5Hg